Record 1
This entry pairs a crystal structure of TbAl6Fe3 with its simulated powder X-ray diffraction pattern. Radiation: Cu Kα (λ = 1.5418 Å). Structure: a DFT-relaxed cell (GGA-PBE, Alexandria).
Lines closer than 0.1° are merged.

The 8 most intense peaks (2θ = 10–90°), low angle first:
- 13.85°, intensity 73.7, (0 0 1)
- 19.65°, intensity 33.7, (2 0 -1)
- 33.38°, intensity 69.6, (0 2 0)
- 36.30°, intensity 81.5, (3 1 -2)
- 39.03°, intensity 42.0, (4 0 -1)
- 42.42°, intensity 33.8, (0 0 3)
- 44.06°, intensity 100.0, (3 1 1)
- 67.13°, intensity 31.2, (3 3 1)

```
data_TbAl6Fe3
_symmetry_space_group_name_H-M 'C 1 m 1'
_symmetry_Int_Tables_number 8
_cell_length_a 9.298
_cell_length_b 5.368
_cell_length_c 7.101
_cell_angle_alpha 90.00
_cell_angle_beta 115.81
_cell_angle_gamma 90.00
loop_
_symmetry_equiv_pos_as_xyz
'x,y,z'
'x,-y,z'
'x+1/2,y+1/2,z'
'x+1/2,-y+1/2,z'
loop_
_atom_site_label
_atom_site_type_symbol
_atom_site_fract_x
_atom_site_fract_y
_atom_site_fract_z
Tb1 Tb 0.000 0.000 0.000
Al1 Al 0.097 0.500 0.290
Al2 Al 0.147 0.251 0.692
Al3 Al 0.347 0.250 0.290
Al4 Al 0.399 0.000 0.692
Fe1 Fe 0.138 0.000 0.413
Fe2 Fe 0.160 0.500 0.979
Fe3 Fe 0.328 0.000 0.984
```

Record 2
This entry pairs a crystal structure of TbAlFe with its simulated powder X-ray diffraction pattern. Radiation: Cu Kα (λ = 1.5418 Å). Structure: a DFT-relaxed cell (GGA-PBE, Alexandria).
Lines closer than 0.1° are merged.

The 8 most intense peaks (2θ = 10–90°), low angle first:
- 20.66°, intensity 24.9, (2 0 0)
- 33.10°, intensity 83.2, (0 1 3)
- 36.75°, intensity 81.3, (3 0 2)
- 39.34°, intensity 100.0, (2 2 0)
- 39.87°, intensity 33.6, (1 0 4)
- 61.53°, intensity 37.3, (3 2 4)
- 63.33°, intensity 23.8, (2 0 6)
- 67.56°, intensity 23.0, (5 2 2)

```
data_TbAlFe
_symmetry_space_group_name_H-M 'A m m 2'
_symmetry_Int_Tables_number 38
_cell_length_a 8.598
_cell_length_b 5.407
_cell_length_c 9.385
_cell_angle_alpha 90.00
_cell_angle_beta 90.00
_cell_angle_gamma 90.00
loop_
_symmetry_equiv_pos_as_xyz
'x,y,z'
'-x,-y,z'
'-x,y,z'
'x,-y,z'
'x,y+1/2,z+1/2'
'-x,-y+1/2,z+1/2'
'-x,y+1/2,z+1/2'
'x,-y+1/2,z+1/2'
loop_
_atom_site_label
_atom_site_type_symbol
_atom_site_fract_x
_atom_site_fract_y
_atom_site_fract_z
Tb1 Tb 0.185 0.000 0.000
Tb2 Tb 0.300 0.000 0.670
Al1 Al 0.000 0.000 0.495
Al2 Al 0.500 0.000 0.169
Al3 Al 0.500 0.244 0.415
Fe1 Fe 0.000 0.246 0.254
Fe2 Fe 0.238 0.000 0.325
```

Record 3
This entry pairs a crystal structure of TbAl10Fe2 with its simulated powder X-ray diffraction pattern. Radiation: Cu Kα (λ = 1.5418 Å). Structure: a DFT-relaxed cell (GGA-PBE, Alexandria).
Lines closer than 0.1° are merged.

The 8 most intense peaks (2θ = 10–90°), low angle first:
- 13.21°, intensity 33.5, (1 1 0)
- 16.51°, intensity 39.1, (1 1 1)
- 28.19°, intensity 41.2, (2 0 2)
- 28.43°, intensity 37.1, (2 2 1)
- 34.79°, intensity 42.5, (0 2 3)
- 37.30°, intensity 35.7, (3 1 2)
- 40.39°, intensity 100.0, (4 0 0)
- 40.94°, intensity 86.5, (0 4 2)

```
data_TbAl10Fe2
_symmetry_space_group_name_H-M 'C m c m'
_symmetry_Int_Tables_number 63
_symmetry_space_group_name_Hall '-C 2c 2'
_cell_length_a 8.936
_cell_length_b 10.128
_cell_length_c 8.980
_cell_angle_alpha 90.00
_cell_angle_beta 90.00
_cell_angle_gamma 90.00
loop_
_atom_site_label
_atom_site_type_symbol
_atom_site_fract_x
_atom_site_fract_y
_atom_site_fract_z
Tb1 Tb 0.000 0.125 0.250
Al1 Al 0.000 0.159 0.597
Al2 Al 0.000 0.375 0.049
Al3 Al 0.151 0.371 0.750
Al4 Al 0.226 0.360 0.250
Al5 Al 0.227 0.000 0.000
Fe1 Fe 0.250 0.250 0.000
```